No. 1
Structure and calculated PXRD pattern of ErZrCo4 (a crystal structure in Alexandria, relaxed with PBE; a wavelength of 1.5418 Å).
Kinematic intensities with the Lorentz-polarization factor, no thermal factor.

Structural model:
Lattice parameters (Å, degrees): 4.961 4.961 4.961 60.00 60.00 60.00
Element x y z (fractional)
Er (0.000, 0.000, 0.000)
Zr (0.750, 0.750, 0.750)
Co (0.375, 0.375, 0.375)
Co (0.375, 0.375, 0.875)
Co (0.375, 0.875, 0.375)
Co (0.875, 0.375, 0.375)

Principal peaks in the range 15° ≤ 2θ ≤ 90°, in order of rising 2θ:
d 4.051, 21.94°, rel. 11
d 2.480, 36.22°, rel. 55
d 2.115, 42.75°, rel. 100
d 2.025, 44.75°, rel. 20
d 1.432, 65.14°, rel. 20
d 1.350, 69.64°, rel. 30
d 1.240, 76.87°, rel. 22
d 1.109, 88.05°, rel. 9


No. 2
Structure and calculated PXRD pattern of ErZrCo (a crystal structure in Alexandria, relaxed with PBE; a wavelength of 1.5418 Å).
Kinematic intensities with the Lorentz-polarization factor, no thermal factor.

Structural model:
Lattice parameters (Å, degrees): 5.338 4.295 5.799 90.00 104.51 90.00
Element x y z (fractional)
Er (0.074, 0.250, 0.277)
Er (0.926, 0.750, 0.723)
Zr (0.461, 0.250, 0.813)
Zr (0.539, 0.750, 0.187)
Co (0.377, 0.750, 0.573)
Co (0.623, 0.250, 0.427)

Principal peaks in the range 15° ≤ 2θ ≤ 90°, in order of rising 2θ:
d 3.410, 26.13°, rel. 39
d 3.070, 29.09°, rel. 74
d 2.807, 31.88°, rel. 32
d 2.666, 33.61°, rel. 100
d 2.609, 34.38°, rel. 35
d 2.350, 38.30°, rel. 34
d 2.331, 38.62°, rel. 30
d 2.148, 42.06°, rel. 61


No. 3
Structure and calculated PXRD pattern of EuGa3Co2 (a crystal structure in Alexandria, relaxed with PBE; a wavelength of 1.5418 Å).
Kinematic intensities with the Lorentz-polarization factor, no thermal factor.

Structural model:
Lattice parameters (Å, degrees): 6.276 6.276 5.275 90.00 90.00 75.77
Element x y z (fractional)
Eu (0.154, 0.846, 0.750)
Eu (0.846, 0.154, 0.250)
Ga (0.026, 0.584, 0.250)
Ga (0.416, 0.974, 0.250)
Ga (0.447, 0.553, 0.250)
Ga (0.553, 0.447, 0.750)
Ga (0.584, 0.026, 0.750)
Ga (0.974, 0.416, 0.750)
Co (0.298, 0.298, 0.000)
Co (0.298, 0.298, 0.500)
Co (0.702, 0.702, 0.000)
Co (0.702, 0.702, 0.500)

Principal peaks in the range 15° ≤ 2θ ≤ 90°, in order of rising 2θ:
d 2.633, 34.04°, rel. 100
d 2.487, 36.12°, rel. 23
d 2.476, 36.27°, rel. 16
d 2.328, 38.68°, rel. 14
d 2.177, 41.49°, rel. 16
d 1.992, 45.53°, rel. 20
d 1.569, 58.86°, rel. 12
d 1.522, 60.87°, rel. 16


No. 4
Structure and calculated PXRD pattern of Eu2Co5Ge3 (a crystal structure in Alexandria, relaxed with PBE; a wavelength of 1.5418 Å).
Kinematic intensities with the Lorentz-polarization factor, no thermal factor.

Structural model:
Lattice parameters (Å, degrees): 4.003 4.003 10.271 90.00 90.00 90.00
Element x y z (fractional)
Eu (0.000, 0.000, 0.000)
Eu (0.500, 0.500, 0.491)
Co (0.000, 0.500, 0.233)
Co (0.000, 0.500, 0.746)
Co (0.500, 0.000, 0.233)
Co (0.500, 0.000, 0.746)
Co (0.500, 0.500, 0.116)
Ge (0.000, 0.000, 0.357)
Ge (0.000, 0.000, 0.631)
Ge (0.500, 0.500, 0.872)

Principal peaks in the range 15° ≤ 2θ ≤ 90°, in order of rising 2θ:
d 2.831, 31.61°, rel. 27
d 2.602, 34.47°, rel. 100
d 2.479, 36.23°, rel. 91
d 2.002, 45.30°, rel. 59
d 1.828, 49.90°, rel. 27
d 1.587, 58.15°, rel. 43
d 1.465, 63.51°, rel. 20
d 1.350, 69.67°, rel. 20